Entry 1:
For NdSm3Ru, the PBE geometry in Alexandria gives the computed powder XRD pattern in this record (λ = 1.5418 Å (Cu Kα)).
Neutral-atom scattering factors, no anomalous dispersion.

The 10 most intense peaks (10 to 80 degrees two-theta), most intense first:
Position (°2θ), d_spacing, I_rel
30.21, 2.959, 100
30.71, 2.912, 47
39.07, 2.306, 30
28.01, 3.186, 27
47.81, 1.903, 25
50.95, 1.792, 23
57.00, 1.616, 17
56.32, 1.633, 15
39.47, 2.283, 15
46.77, 1.942, 14

Lattice parameters (Å, degrees): 7.7696 6.5464 6.3719 90.00 90.00 90.00
Positions (direct):
Nd1 0.0000 0.1552 0.0000
Nd2 0.5000 0.8448 0.5000
Sm1 0.0000 0.8409 0.4889
Sm2 0.2497 0.3226 0.4942
Sm3 0.2503 0.6774 0.9942
Sm4 0.5000 0.1591 0.9889
Sm5 0.7503 0.3226 0.4942
Sm6 0.7497 0.6774 0.9942
Ru1 0.0000 0.5014 0.7436
Ru2 0.5000 0.4986 0.2436

Entry 2:
For NdSn3Ru, the PBE geometry in Alexandria gives the computed powder XRD pattern in this record (λ = 1.5418 Å (Cu Kα)).
Neutral-atom scattering factors, no anomalous dispersion.

The 10 most intense peaks (10 to 80 degrees two-theta), most intense first:
Position (°2θ), d_spacing, I_rel
32.96, 2.718, 100
34.24, 2.619, 44
45.34, 2.000, 22
36.68, 2.450, 20
58.02, 1.590, 17
62.91, 1.477, 14
37.86, 2.377, 13
66.83, 1.400, 12
54.61, 1.681, 12
69.88, 1.346, 9

Lattice parameters (Å, degrees): 9.7992 9.7992 9.7992 90.00 90.00 90.00
Positions (direct):
Nd1 0.0000 0.0000 0.0000
Nd2 0.0000 0.2500 0.5000
Nd3 0.0000 0.7500 0.5000
Nd4 0.2500 0.5000 0.0000
Nd5 0.5000 0.0000 0.2500
Nd6 0.5000 0.0000 0.7500
Nd7 0.5000 0.5000 0.5000
Nd8 0.7500 0.5000 0.0000
Sn1 0.0000 0.3144 0.1557
Sn2 0.0000 0.3144 0.8443
Sn3 0.0000 0.6856 0.1557
Sn4 0.0000 0.6856 0.8443
Sn5 0.1557 0.0000 0.3144
Sn6 0.1557 0.0000 0.6856
Sn7 0.1856 0.5000 0.3443
Sn8 0.1856 0.5000 0.6557
Sn9 0.3144 0.1557 0.0000
Sn10 0.3144 0.8443 0.0000
Sn11 0.3443 0.1856 0.5000
Sn12 0.3443 0.8144 0.5000
Sn13 0.5000 0.3443 0.1856
Sn14 0.5000 0.3443 0.8144
Sn15 0.5000 0.6557 0.1856
Sn16 0.5000 0.6557 0.8144
Sn17 0.6557 0.1856 0.5000
Sn18 0.6557 0.8144 0.5000
Sn19 0.6856 0.1557 0.0000
Sn20 0.6856 0.8443 0.0000
Sn21 0.8144 0.5000 0.3443
Sn22 0.8144 0.5000 0.6557
Sn23 0.8443 0.0000 0.3144
Sn24 0.8443 0.0000 0.6856
Ru1 0.2500 0.2500 0.2500
Ru2 0.2500 0.2500 0.7500
Ru3 0.2500 0.7500 0.2500
Ru4 0.2500 0.7500 0.7500
Ru5 0.7500 0.2500 0.2500
Ru6 0.7500 0.2500 0.7500
Ru7 0.7500 0.7500 0.2500
Ru8 0.7500 0.7500 0.7500

Entry 3:
For NdSn6Ru4, the PBE geometry in Alexandria gives the computed powder XRD pattern in this record (λ = 1.5418 Å (Cu Kα)).
Neutral-atom scattering factors, no anomalous dispersion.

The 10 most intense peaks (10 to 80 degrees two-theta), most intense first:
Position (°2θ), d_spacing, I_rel
39.90, 2.259, 100
31.50, 2.841, 87
30.17, 2.962, 83
40.01, 2.254, 71
40.90, 2.207, 70
41.09, 2.197, 57
36.60, 2.455, 54
61.88, 1.499, 38
52.56, 1.741, 37
71.81, 1.315, 35

Lattice parameters (Å, degrees): 6.9650 6.9650 6.9650 120.20 120.20 89.65
Positions (direct):
Nd1 0.0000 0.0000 0.0000
Sn1 0.0000 0.5000 0.5000
Sn2 0.1174 0.4722 0.0000
Sn3 0.4722 0.1174 0.0000
Sn4 0.5000 0.0000 0.5000
Sn5 0.5278 0.5278 0.6453
Sn6 0.8826 0.8826 0.3547
Ru1 0.2499 0.2499 0.6568
Ru2 0.4069 0.7501 0.0000
Ru3 0.5931 0.5931 0.3432
Ru4 0.7501 0.4069 0.0000

Entry 4:
For Nd2Sn5Ru3, the PBE geometry in Alexandria gives the computed powder XRD pattern in this record (λ = 1.5418 Å (Cu Kα)).
Neutral-atom scattering factors, no anomalous dispersion.

The 10 most intense peaks (10 to 80 degrees two-theta), most intense first:
Position (°2θ), d_spacing, I_rel
33.21, 2.698, 100
33.06, 2.709, 66
39.96, 2.256, 46
35.70, 2.515, 26
39.57, 2.277, 26
36.13, 2.486, 25
62.65, 1.483, 23
68.27, 1.374, 21
31.77, 2.817, 21
44.14, 2.052, 18

Lattice parameters (Å, degrees): 13.5928 13.5928 7.2659 90.00 90.00 160.89
Positions (direct):
Nd1 0.0226 0.9774 0.5000
Nd2 0.3264 0.6736 0.4793
Nd3 0.6736 0.3264 0.9793
Nd4 0.9774 0.0226 0.0000
Sn1 0.0969 0.9031 0.1295
Sn2 0.2067 0.7933 0.6859
Sn3 0.2098 0.7902 0.2635
Sn4 0.3774 0.6226 0.9926
Sn5 0.4499 0.5501 0.3298
Sn6 0.5501 0.4499 0.8298
Sn7 0.6226 0.3774 0.4926
Sn8 0.7902 0.2098 0.7635
Sn9 0.7933 0.2067 0.1859
Sn10 0.9031 0.0969 0.6295
Ru1 0.1064 0.8936 0.7509
Ru2 0.2762 0.7238 0.9731
Ru3 0.4502 0.5498 0.7153
Ru4 0.5498 0.4502 0.2153
Ru5 0.7238 0.2762 0.4731
Ru6 0.8936 0.1064 0.2509